[1]
Theoretical powder diffractogram
Compound: CdI2
Radiation: Cu Kα (λ = 1.5418 Å)
Structure: a cell relaxed with PBE

Cell lengths 4.3474, 4.3474, 88.3348 Å; angles 90.00, 90.00, 120.00 degrees
Space group R-3m (No. 166, hexagonal axes)
Asymmetric unit:
Cd 0.0000 0.0000 0.0000 (multiplicity 3)
Cd 0.0000 0.0000 0.0833 (multiplicity 6)
Cd 0.0000 0.0000 0.5000 (multiplicity 3)
I 0.0000 0.0000 0.1472 (multiplicity 6)
I 0.0000 0.0000 0.2305 (multiplicity 6)
I 0.0000 0.0000 0.3138 (multiplicity 6)
I 0.0000 0.0000 0.3972 (multiplicity 6)

The 8 most intense peaks (10 to 80 degrees two-theta), by intensity:
h k l	Position (°2θ)	d/Å	intensity
1 0 13	27.08	3.293	100
0 0 12	12.02	7.361	67
1 1 0	41.55	2.174	65
0 1 11	26.14	3.409	43
1 0 22	32.60	2.746	36
1 1 48	66.58	1.405	30
0 1 35	43.15	2.096	29
0 1 26	35.59	2.522	25

---

[2]
Theoretical powder diffractogram
Compound: CdI2
Radiation: Cu Kα (λ = 1.5418 Å)
Structure: a cell relaxed with PBE

Cell lengths 4.3428, 4.3428, 110.4213 Å; angles 90.00, 90.00, 120.00 degrees
Space group P3m1 (No. 156)
Asymmetric unit:
Cd 0.0000 0.0000 0.0000 (multiplicity 1)
Cd 0.0000 0.0000 0.0667 (multiplicity 1)
Cd 0.0000 0.0000 0.2000 (multiplicity 1)
Cd 0.0000 0.0000 0.3333 (multiplicity 1)
Cd 0.0000 0.0000 0.4667 (multiplicity 1)
Cd 0.0000 0.0000 0.5333 (multiplicity 1)
Cd 0.0000 0.0000 0.6667 (multiplicity 1)
Cd 0.0000 0.0000 0.8000 (multiplicity 1)
Cd 0.6667 0.3333 0.1333 (multiplicity 1)
Cd 0.6667 0.3333 0.2667 (multiplicity 1)
Cd 0.6667 0.3333 0.4000 (multiplicity 1)
Cd 0.6667 0.3333 0.6000 (multiplicity 1)
Cd 0.6667 0.3333 0.7333 (multiplicity 1)
Cd 0.6667 0.3333 0.8667 (multiplicity 1)
Cd 0.6667 0.3333 0.9333 (multiplicity 1)
I 0.0000 0.0000 0.1177 (multiplicity 1)
I 0.0000 0.0000 0.2510 (multiplicity 1)
I 0.0000 0.0000 0.3843 (multiplicity 1)
I 0.0000 0.0000 0.5843 (multiplicity 1)
I 0.0000 0.0000 0.7177 (multiplicity 1)
I 0.0000 0.0000 0.8510 (multiplicity 1)
I 0.0000 0.0000 0.9177 (multiplicity 1)
I 0.3333 0.6667 0.0157 (multiplicity 1)
I 0.3333 0.6667 0.0823 (multiplicity 1)
I 0.3333 0.6667 0.1490 (multiplicity 1)
I 0.3333 0.6667 0.2156 (multiplicity 1)
I 0.3333 0.6667 0.2823 (multiplicity 1)
I 0.3333 0.6667 0.3490 (multiplicity 1)
I 0.3333 0.6667 0.4156 (multiplicity 1)
I 0.3333 0.6667 0.4823 (multiplicity 1)
I 0.3333 0.6667 0.5490 (multiplicity 1)
I 0.3333 0.6667 0.6157 (multiplicity 1)
I 0.3333 0.6667 0.6823 (multiplicity 1)
I 0.3333 0.6667 0.7490 (multiplicity 1)
I 0.3333 0.6667 0.8156 (multiplicity 1)
I 0.3333 0.6667 0.8823 (multiplicity 1)
I 0.3333 0.6667 0.9490 (multiplicity 1)
I 0.6667 0.3333 0.0510 (multiplicity 1)
I 0.6667 0.3333 0.1843 (multiplicity 1)
I 0.6667 0.3333 0.3177 (multiplicity 1)
I 0.6667 0.3333 0.4510 (multiplicity 1)
I 0.6667 0.3333 0.5177 (multiplicity 1)
I 0.6667 0.3333 0.6510 (multiplicity 1)
I 0.6667 0.3333 0.7843 (multiplicity 1)
I 0.6667 0.3333 0.9843 (multiplicity 1)

The 8 most intense peaks (10 to 80 degrees two-theta), by intensity:
h k l	Position (°2θ)	d/Å	intensity
0 1 15	26.62	3.349	100
0 0 15	12.02	7.361	54
1 1 0	41.59	2.171	53
1 0 45	44.06	2.055	25
1 1 60	66.61	1.404	23
0 1 30	34.08	2.631	22
2 0 15	50.06	1.822	18
1 0 24	30.70	2.912	15

---

[3]
Theoretical powder diffractogram
Compound: CdI2
Radiation: Cu Kα (λ = 1.5418 Å)
Structure: a cell relaxed with PBE

Cell lengths 4.3413, 4.3413, 103.0515 Å; angles 90.00, 90.00, 120.00 degrees
Space group P3m1 (No. 156)
Asymmetric unit:
Cd 0.0000 0.0000 0.0000 (multiplicity 1)
Cd 0.0000 0.0000 0.0714 (multiplicity 1)
Cd 0.0000 0.0000 0.1428 (multiplicity 1)
Cd 0.0000 0.0000 0.2143 (multiplicity 1)
Cd 0.0000 0.0000 0.2857 (multiplicity 1)
Cd 0.0000 0.0000 0.4286 (multiplicity 1)
Cd 0.0000 0.0000 0.5000 (multiplicity 1)
Cd 0.0000 0.0000 0.5714 (multiplicity 1)
Cd 0.0000 0.0000 0.6428 (multiplicity 1)
Cd 0.0000 0.0000 0.7143 (multiplicity 1)
Cd 0.0000 0.0000 0.8571 (multiplicity 1)
Cd 0.3333 0.6667 0.3571 (multiplicity 1)
Cd 0.3333 0.6667 0.7857 (multiplicity 1)
Cd 0.3333 0.6667 0.9286 (multiplicity 1)
I 0.0000 0.0000 0.3739 (multiplicity 1)
I 0.0000 0.0000 0.8025 (multiplicity 1)
I 0.0000 0.0000 0.9453 (multiplicity 1)
I 0.3333 0.6667 0.0168 (multiplicity 1)
I 0.3333 0.6667 0.0882 (multiplicity 1)
I 0.3333 0.6667 0.1596 (multiplicity 1)
I 0.3333 0.6667 0.2310 (multiplicity 1)
I 0.3333 0.6667 0.3025 (multiplicity 1)
I 0.3333 0.6667 0.4453 (multiplicity 1)
I 0.3333 0.6667 0.5168 (multiplicity 1)
I 0.3333 0.6667 0.5882 (multiplicity 1)
I 0.3333 0.6667 0.6596 (multiplicity 1)
I 0.3333 0.6667 0.7310 (multiplicity 1)
I 0.3333 0.6667 0.8739 (multiplicity 1)
I 0.6667 0.3333 0.0546 (multiplicity 1)
I 0.6667 0.3333 0.1260 (multiplicity 1)
I 0.6667 0.3333 0.1975 (multiplicity 1)
I 0.6667 0.3333 0.2690 (multiplicity 1)
I 0.6667 0.3333 0.3404 (multiplicity 1)
I 0.6667 0.3333 0.4118 (multiplicity 1)
I 0.6667 0.3333 0.4832 (multiplicity 1)
I 0.6667 0.3333 0.5546 (multiplicity 1)
I 0.6667 0.3333 0.6260 (multiplicity 1)
I 0.6667 0.3333 0.6975 (multiplicity 1)
I 0.6667 0.3333 0.7690 (multiplicity 1)
I 0.6667 0.3333 0.8404 (multiplicity 1)
I 0.6667 0.3333 0.9118 (multiplicity 1)
I 0.6667 0.3333 0.9832 (multiplicity 1)

The 8 most intense peaks (10 to 80 degrees two-theta), by intensity:
h k l	Position (°2θ)	d/Å	intensity
0 1 14	26.62	3.348	100
0 0 14	12.02	7.361	46
1 1 0	41.61	2.171	45
0 1 28	34.09	2.630	35
1 0 42	44.07	2.055	27
1 1 56	66.63	1.404	20
2 0 14	50.08	1.821	17
1 2 14	67.08	1.395	14

---

[4]
Theoretical powder diffractogram
Compound: CdI2
Radiation: Cu Kα (λ = 1.5418 Å)
Structure: a cell relaxed with PBE

Cell lengths 4.3420, 4.3420, 103.1601 Å; angles 90.00, 90.00, 120.00 degrees
Space group P3m1 (No. 156)
Asymmetric unit:
Cd 0.0000 0.0000 0.0000 (multiplicity 1)
Cd 0.0000 0.0000 0.1428 (multiplicity 1)
Cd 0.0000 0.0000 0.2857 (multiplicity 1)
Cd 0.0000 0.0000 0.4286 (multiplicity 1)
Cd 0.0000 0.0000 0.5714 (multiplicity 1)
Cd 0.0000 0.0000 0.7143 (multiplicity 1)
Cd 0.0000 0.0000 0.8571 (multiplicity 1)
Cd 0.3333 0.6667 0.0714 (multiplicity 1)
Cd 0.3333 0.6667 0.2143 (multiplicity 1)
Cd 0.3333 0.6667 0.3571 (multiplicity 1)
Cd 0.3333 0.6667 0.5000 (multiplicity 1)
Cd 0.3333 0.6667 0.6428 (multiplicity 1)
Cd 0.6667 0.3333 0.7857 (multiplicity 1)
Cd 0.6667 0.3333 0.9286 (multiplicity 1)
I 0.0000 0.0000 0.0882 (multiplicity 1)
I 0.0000 0.0000 0.2310 (multiplicity 1)
I 0.0000 0.0000 0.3739 (multiplicity 1)
I 0.0000 0.0000 0.5167 (multiplicity 1)
I 0.0000 0.0000 0.6596 (multiplicity 1)
I 0.0000 0.0000 0.7690 (multiplicity 1)
I 0.0000 0.0000 0.9118 (multiplicity 1)
I 0.3333 0.6667 0.0167 (multiplicity 1)
I 0.3333 0.6667 0.1596 (multiplicity 1)
I 0.3333 0.6667 0.3025 (multiplicity 1)
I 0.3333 0.6667 0.4453 (multiplicity 1)
I 0.3333 0.6667 0.5882 (multiplicity 1)
I 0.3333 0.6667 0.7310 (multiplicity 1)
I 0.3333 0.6667 0.8025 (multiplicity 1)
I 0.3333 0.6667 0.8739 (multiplicity 1)
I 0.3333 0.6667 0.9453 (multiplicity 1)
I 0.6667 0.3333 0.0547 (multiplicity 1)
I 0.6667 0.3333 0.1261 (multiplicity 1)
I 0.6667 0.3333 0.1975 (multiplicity 1)
I 0.6667 0.3333 0.2689 (multiplicity 1)
I 0.6667 0.3333 0.3404 (multiplicity 1)
I 0.6667 0.3333 0.4118 (multiplicity 1)
I 0.6667 0.3333 0.4832 (multiplicity 1)
I 0.6667 0.3333 0.5547 (multiplicity 1)
I 0.6667 0.3333 0.6261 (multiplicity 1)
I 0.6667 0.3333 0.6975 (multiplicity 1)
I 0.6667 0.3333 0.8404 (multiplicity 1)
I 0.6667 0.3333 0.9832 (multiplicity 1)

The 8 most intense peaks (10 to 80 degrees two-theta), by intensity:
h k l	Position (°2θ)	d/Å	intensity
0 1 14	26.61	3.349	100
0 0 14	12.01	7.369	71
1 1 0	41.60	2.171	69
0 1 21	29.92	2.986	62
1 0 35	38.82	2.320	39
1 1 56	66.58	1.405	30
1 0 42	44.04	2.056	24
1 1 14	43.45	2.083	18

---

[5]
Theoretical powder diffractogram
Compound: CdI2
Radiation: Cu Kα (λ = 1.5418 Å)
Structure: a cell relaxed with PBE

Cell lengths 4.3340, 4.3340, 120.7110 Å; angles 90.00, 90.00, 120.00 degrees
Space group P3m1 (No. 156)
Asymmetric unit:
Cd 0.0000 0.0000 0.0000 (multiplicity 1)
Cd 0.0000 0.0000 0.0625 (multiplicity 1)
Cd 0.0000 0.0000 0.1874 (multiplicity 1)
Cd 0.0000 0.0000 0.3125 (multiplicity 1)
Cd 0.0000 0.0000 0.4375 (multiplicity 1)
Cd 0.0000 0.0000 0.5625 (multiplicity 1)
Cd 0.0000 0.0000 0.6875 (multiplicity 1)
Cd 0.0000 0.0000 0.8125 (multiplicity 1)
Cd 0.3333 0.6667 0.2500 (multiplicity 1)
Cd 0.3333 0.6667 0.3750 (multiplicity 1)
Cd 0.3333 0.6667 0.5000 (multiplicity 1)
Cd 0.3333 0.6667 0.6250 (multiplicity 1)
Cd 0.3333 0.6667 0.7500 (multiplicity 1)
Cd 0.3333 0.6667 0.8750 (multiplicity 1)
Cd 0.6667 0.3333 0.1250 (multiplicity 1)
Cd 0.6667 0.3333 0.9375 (multiplicity 1)
I 0.0000 0.0000 0.1393 (multiplicity 1)
I 0.0000 0.0000 0.2357 (multiplicity 1)
I 0.0000 0.0000 0.3607 (multiplicity 1)
I 0.0000 0.0000 0.4857 (multiplicity 1)
I 0.0000 0.0000 0.6107 (multiplicity 1)
I 0.0000 0.0000 0.7357 (multiplicity 1)
I 0.0000 0.0000 0.8607 (multiplicity 1)
I 0.0000 0.0000 0.9518 (multiplicity 1)
I 0.3333 0.6667 0.0482 (multiplicity 1)
I 0.3333 0.6667 0.1107 (multiplicity 1)
I 0.3333 0.6667 0.1732 (multiplicity 1)
I 0.3333 0.6667 0.2982 (multiplicity 1)
I 0.3333 0.6667 0.4232 (multiplicity 1)
I 0.3333 0.6667 0.5482 (multiplicity 1)
I 0.3333 0.6667 0.6732 (multiplicity 1)
I 0.3333 0.6667 0.7982 (multiplicity 1)
I 0.3333 0.6667 0.9233 (multiplicity 1)
I 0.3333 0.6667 0.9857 (multiplicity 1)
I 0.6667 0.3333 0.0143 (multiplicity 1)
I 0.6667 0.3333 0.0768 (multiplicity 1)
I 0.6667 0.3333 0.2017 (multiplicity 1)
I 0.6667 0.3333 0.2643 (multiplicity 1)
I 0.6667 0.3333 0.3268 (multiplicity 1)
I 0.6667 0.3333 0.3893 (multiplicity 1)
I 0.6667 0.3333 0.4518 (multiplicity 1)
I 0.6667 0.3333 0.5143 (multiplicity 1)
I 0.6667 0.3333 0.5768 (multiplicity 1)
I 0.6667 0.3333 0.6393 (multiplicity 1)
I 0.6667 0.3333 0.7018 (multiplicity 1)
I 0.6667 0.3333 0.7643 (multiplicity 1)
I 0.6667 0.3333 0.8268 (multiplicity 1)
I 0.6667 0.3333 0.8893 (multiplicity 1)

The 8 most intense peaks (10 to 80 degrees two-theta), by intensity:
h k l	Position (°2θ)	d/Å	intensity
1 0 16	26.52	3.360	100
0 0 16	11.73	7.544	83
1 1 0	41.68	2.167	67
1 0 24	29.70	3.008	48
1 0 40	38.27	2.352	30
1 1 64	65.62	1.423	28
0 1 48	43.31	2.089	24
1 1 16	43.45	2.083	20

---

[6]
Theoretical powder diffractogram
Compound: CdI2
Radiation: Cu Kα (λ = 1.5418 Å)
Structure: a cell relaxed with PBE

Cell lengths 4.3338, 4.3338, 45.3517 Å; angles 90.00, 90.00, 120.00 degrees
Space group P3m1 (No. 156)
Asymmetric unit:
Cd 0.0000 0.0000 0.0000 (multiplicity 1)
Cd 0.0000 0.0000 0.1667 (multiplicity 1)
Cd 0.0000 0.0000 0.5000 (multiplicity 1)
Cd 0.3333 0.6667 0.6666 (multiplicity 1)
Cd 0.3333 0.6667 0.8332 (multiplicity 1)
Cd 0.6667 0.3333 0.3334 (multiplicity 1)
I 0.0000 0.0000 0.2954 (multiplicity 1)
I 0.0000 0.0000 0.7046 (multiplicity 1)
I 0.0000 0.0000 0.8712 (multiplicity 1)
I 0.3333 0.6667 0.0380 (multiplicity 1)
I 0.3333 0.6667 0.2046 (multiplicity 1)
I 0.3333 0.6667 0.3714 (multiplicity 1)
I 0.3333 0.6667 0.5380 (multiplicity 1)
I 0.6667 0.3333 0.1287 (multiplicity 1)
I 0.6667 0.3333 0.4620 (multiplicity 1)
I 0.6667 0.3333 0.6286 (multiplicity 1)
I 0.6667 0.3333 0.7952 (multiplicity 1)
I 0.6667 0.3333 0.9620 (multiplicity 1)

The 8 most intense peaks (10 to 80 degrees two-theta), by intensity:
h k l	Position (°2θ)	d/Å	intensity
0 1 6	26.52	3.362	100
0 0 6	11.71	7.559	89
1 1 0	41.68	2.167	70
1 0 7	27.46	3.248	42
1 0 10	30.93	2.891	30
1 1 24	65.55	1.424	29
1 0 18	43.25	2.092	24
1 0 5	25.69	3.468	24

---

[7]
Theoretical powder diffractogram
Compound: CdI2
Radiation: Cu Kα (λ = 1.5418 Å)
Structure: a cell relaxed with PBE

Cell lengths 4.3322, 4.3322, 44.3888 Å; angles 90.00, 90.00, 120.00 degrees
Space group P-3m1 (No. 164)
Asymmetric unit:
Cd 0.0000 0.0000 0.0000 (multiplicity 1)
Cd 0.0000 0.0000 0.1666 (multiplicity 2)
Cd 0.0000 0.0000 0.5000 (multiplicity 1)
Cd 0.3333 0.6667 0.3333 (multiplicity 2)
I 0.0000 0.0000 0.3723 (multiplicity 2)
I 0.3333 0.6667 0.0388 (multiplicity 2)
I 0.3333 0.6667 0.2056 (multiplicity 2)
I 0.3333 0.6667 0.5388 (multiplicity 2)
I 0.3333 0.6667 0.7056 (multiplicity 2)
I 0.3333 0.6667 0.8722 (multiplicity 2)

The 8 most intense peaks (10 to 80 degrees two-theta), by intensity:
h k l	Position (°2θ)	d/Å	intensity
0 1 6	26.64	3.346	100
0 0 6	11.96	7.398	61
1 1 0	41.70	2.166	57
1 0 18	43.94	2.061	26
1 1 24	66.47	1.407	25
0 1 12	34.04	2.634	23
1 0 8	28.72	3.108	21
0 1 9	29.92	2.986	21

---

[8]
Theoretical powder diffractogram
Compound: CdI2
Radiation: Cu Kα (λ = 1.5418 Å)
Structure: a cell relaxed with PBE

Cell lengths 4.3397, 4.3397, 125.1013 Å; angles 90.00, 90.00, 120.00 degrees
Space group P3m1 (No. 156)
Asymmetric unit:
Cd 0.0000 0.0000 0.0000 (multiplicity 1)
Cd 0.0000 0.0000 0.0588 (multiplicity 1)
Cd 0.0000 0.0000 0.1764 (multiplicity 1)
Cd 0.0000 0.0000 0.2941 (multiplicity 1)
Cd 0.0000 0.0000 0.3529 (multiplicity 1)
Cd 0.0000 0.0000 0.4706 (multiplicity 1)
Cd 0.0000 0.0000 0.5882 (multiplicity 1)
Cd 0.0000 0.0000 0.6471 (multiplicity 1)
Cd 0.0000 0.0000 0.7647 (multiplicity 1)
Cd 0.0000 0.0000 0.8824 (multiplicity 1)
Cd 0.3333 0.6667 0.1176 (multiplicity 1)
Cd 0.3333 0.6667 0.2353 (multiplicity 1)
Cd 0.3333 0.6667 0.4117 (multiplicity 1)
Cd 0.3333 0.6667 0.5294 (multiplicity 1)
Cd 0.3333 0.6667 0.7059 (multiplicity 1)
Cd 0.3333 0.6667 0.8235 (multiplicity 1)
Cd 0.3333 0.6667 0.9412 (multiplicity 1)
I 0.0000 0.0000 0.1038 (multiplicity 1)
I 0.0000 0.0000 0.2215 (multiplicity 1)
I 0.0000 0.0000 0.3979 (multiplicity 1)
I 0.0000 0.0000 0.5156 (multiplicity 1)
I 0.0000 0.0000 0.6921 (multiplicity 1)
I 0.0000 0.0000 0.8097 (multiplicity 1)
I 0.0000 0.0000 0.9274 (multiplicity 1)
I 0.3333 0.6667 0.0450 (multiplicity 1)
I 0.3333 0.6667 0.1626 (multiplicity 1)
I 0.3333 0.6667 0.2803 (multiplicity 1)
I 0.3333 0.6667 0.3391 (multiplicity 1)
I 0.3333 0.6667 0.4568 (multiplicity 1)
I 0.3333 0.6667 0.5744 (multiplicity 1)
I 0.3333 0.6667 0.6333 (multiplicity 1)
I 0.3333 0.6667 0.7509 (multiplicity 1)
I 0.3333 0.6667 0.8686 (multiplicity 1)
I 0.3333 0.6667 0.9862 (multiplicity 1)
I 0.6667 0.3333 0.0138 (multiplicity 1)
I 0.6667 0.3333 0.0726 (multiplicity 1)
I 0.6667 0.3333 0.1314 (multiplicity 1)
I 0.6667 0.3333 0.1903 (multiplicity 1)
I 0.6667 0.3333 0.2491 (multiplicity 1)
I 0.6667 0.3333 0.3079 (multiplicity 1)
I 0.6667 0.3333 0.3667 (multiplicity 1)
I 0.6667 0.3333 0.4256 (multiplicity 1)
I 0.6667 0.3333 0.4844 (multiplicity 1)
I 0.6667 0.3333 0.5432 (multiplicity 1)
I 0.6667 0.3333 0.6020 (multiplicity 1)
I 0.6667 0.3333 0.6609 (multiplicity 1)
I 0.6667 0.3333 0.7197 (multiplicity 1)
I 0.6667 0.3333 0.7785 (multiplicity 1)
I 0.6667 0.3333 0.8373 (multiplicity 1)
I 0.6667 0.3333 0.8962 (multiplicity 1)
I 0.6667 0.3333 0.9550 (multiplicity 1)

The 8 most intense peaks (10 to 80 degrees two-theta), by intensity:
h k l	Position (°2θ)	d/Å	intensity
1 0 17	26.63	3.347	100
0 0 17	12.03	7.359	53
1 1 0	41.62	2.170	52
0 1 51	44.09	2.054	26
0 1 27	30.63	2.919	25
1 0 24	29.30	3.049	25
1 0 34	34.10	2.629	23
1 1 68	66.65	1.403	23